CaAcNi2Sb2: computed X-ray diffraction stick pattern (Cu Kα (weighted mean of Kα1 and Kα2)), based on a DFT-relaxed cell (PBE, Alexandria).
Lines closer than 0.1° are merged.

The 12 most intense peaks (2θ from 10° to 90°), in order of rising 2θ:
| d/Å | Rel. int. |
| --- | --- |
| 8.744 | 23 |
| 3.492 | 37 |
| 2.872 | 100 |
| 2.199 | 47 |
| 2.186 | 15 |
| 1.755 | 8 |
| 1.746 | 23 |
| 1.550 | 29 |
| 1.367 | 20 |
| 1.361 | 10 |
| 1.270 | 8 |
| 1.098 | 10 |

Crystal structure
abc: 4.398 4.398 8.744
angles: 90.00 90.00 120.00
Positions (direct):
Ca 0.000 0.000 0.000
Ac 0.000 0.000 0.500
Ni 0.333 0.667 0.246
Ni 0.667 0.333 0.754
Sb 0.333 0.667 0.765
Sb 0.667 0.333 0.235


CaAcZnNi: computed X-ray diffraction stick pattern (Cu Kα (weighted mean of Kα1 and Kα2)), based on a DFT-relaxed cell (PBE, Alexandria).
Lines closer than 0.1° are merged.

The 12 most intense peaks (2θ from 10° to 90°), in order of rising 2θ:
| d/Å | Rel. int. |
| --- | --- |
| 5.989 | 54 |
| 4.202 | 28 |
| 3.954 | 31 |
| 3.440 | 29 |
| 2.995 | 23 |
| 2.890 | 59 |
| 2.879 | 100 |
| 2.439 | 35 |
| 2.381 | 68 |
| 2.101 | 21 |
| 2.094 | 21 |
| 1.699 | 25 |

Crystal structure
abc: 4.202 6.345 6.345
angles: 38.54 90.00 90.00
Positions (direct):
Ca 0.000 0.000 0.000
Ac 0.500 0.724 0.724
Zn 0.500 0.429 0.429
Ni 0.000 0.306 0.306


Ca2AcNpO8: computed X-ray diffraction stick pattern (Cu Kα (weighted mean of Kα1 and Kα2)), based on a DFT-relaxed cell (PBE, Alexandria).
Lines closer than 0.1° are merged.

The 12 most intense peaks (2θ from 10° to 90°), in order of rising 2θ:
| d/Å | Rel. int. |
| --- | --- |
| 5.124 | 92 |
| 4.843 | 80 |
| 3.805 | 51 |
| 3.600 | 98 |
| 3.444 | 95 |
| 3.055 | 100 |
| 2.992 | 76 |
| 2.615 | 60 |
| 2.421 | 30 |
| 1.973 | 42 |
| 1.921 | 66 |
| 1.559 | 27 |

Crystal structure
abc: 4.848 7.611 5.129
angles: 90.00 92.54 90.00
Positions (direct):
Ca 0.000 0.216 0.000
Ca 0.000 0.784 0.000
Ac 0.500 0.500 0.500
Np 0.500 0.000 0.500
O 0.062 0.500 0.140
O 0.176 0.000 0.261
O 0.357 0.216 0.706
O 0.357 0.784 0.706
O 0.643 0.216 0.294
O 0.643 0.784 0.294
O 0.824 0.000 0.739
O 0.938 0.500 0.860


CaAc2NpO8: computed X-ray diffraction stick pattern (Cu Kα (weighted mean of Kα1 and Kα2)), based on a DFT-relaxed cell (PBE, Alexandria).
Lines closer than 0.1° are merged.

The 12 most intense peaks (2θ from 10° to 90°), in order of rising 2θ:
| d/Å | Rel. int. |
| --- | --- |
| 7.916 | 23 |
| 3.525 | 39 |
| 3.216 | 100 |
| 2.891 | 33 |
| 2.760 | 14 |
| 2.116 | 14 |
| 2.065 | 25 |
| 1.979 | 11 |
| 1.935 | 19 |
| 1.815 | 13 |
| 1.725 | 21 |
| 1.685 | 10 |

Crystal structure
abc: 4.253 7.916 5.546
angles: 90.00 95.45 90.00
Positions (direct):
Ca 0.000 0.000 0.000
Ac 0.500 0.254 0.500
Ac 0.500 0.746 0.500
Np 0.000 0.500 0.000
O 0.041 0.297 0.771
O 0.041 0.703 0.771
O 0.428 0.500 0.214
O 0.495 0.000 0.226
O 0.505 0.000 0.774
O 0.572 0.500 0.786
O 0.959 0.297 0.229
O 0.959 0.703 0.229


CaAc2PbO5: computed X-ray diffraction stick pattern (Cu Kα (weighted mean of Kα1 and Kα2)), based on a DFT-relaxed cell (PBE, Alexandria).
Lines closer than 0.1° are merged.

The 12 most intense peaks (2θ from 10° to 90°), in order of rising 2θ:
| d/Å | Rel. int. |
| --- | --- |
| 6.631 | 28 |
| 5.046 | 47 |
| 3.316 | 52 |
| 3.191 | 34 |
| 3.142 | 100 |
| 2.876 | 75 |
| 2.523 | 21 |
| 2.299 | 54 |
| 2.136 | 47 |
| 1.879 | 24 |
| 1.817 | 20 |
| 1.675 | 19 |

Crystal structure
abc: 7.136 7.136 6.631
angles: 90.00 90.00 90.00
Positions (direct):
Ca 0.000 0.000 0.000
Ca 0.500 0.500 0.000
Ac 0.171 0.329 0.500
Ac 0.329 0.829 0.500
Ac 0.671 0.171 0.500
Ac 0.829 0.671 0.500
Pb 0.000 0.500 0.000
Pb 0.500 0.000 0.000
O 0.000 0.000 0.500
O 0.164 0.664 0.250
O 0.164 0.664 0.750
O 0.336 0.164 0.250
O 0.336 0.164 0.750
O 0.500 0.500 0.500
O 0.664 0.836 0.250
O 0.664 0.836 0.750
O 0.836 0.336 0.250
O 0.836 0.336 0.750


CaAc2SiO6: computed X-ray diffraction stick pattern (Cu Kα (weighted mean of Kα1 and Kα2)), based on a DFT-relaxed cell (PBE, Alexandria).
Lines closer than 0.1° are merged.

The 12 most intense peaks (2θ from 10° to 90°), in order of rising 2θ:
| d/Å | Rel. int. |
| --- | --- |
| 4.635 | 38 |
| 3.939 | 44 |
| 3.001 | 100 |
| 2.785 | 40 |
| 2.387 | 42 |
| 1.997 | 21 |
| 1.969 | 23 |
| 1.812 | 14 |
| 1.781 | 25 |
| 1.647 | 35 |
| 1.501 | 13 |
| 1.402 | 14 |

Crystal structure
abc: 5.570 5.570 4.635
angles: 90.00 90.00 90.00
Positions (direct):
Ca 0.000 0.000 0.000
Ac 0.000 0.500 0.446
Ac 0.500 0.000 0.446
Si 0.500 0.500 0.003
O 0.000 0.000 0.520
O 0.282 0.282 0.098
O 0.282 0.718 0.098
O 0.500 0.500 0.639
O 0.718 0.282 0.098
O 0.718 0.718 0.098


Ca2Ac4Sn3O2: computed X-ray diffraction stick pattern (Cu Kα (weighted mean of Kα1 and Kα2)), based on a DFT-relaxed cell (PBE, Alexandria).
Lines closer than 0.1° are merged.

The 12 most intense peaks (2θ from 10° to 90°), in order of rising 2θ:
| d/Å | Rel. int. |
| --- | --- |
| 6.520 | 33 |
| 4.346 | 13 |
| 3.521 | 27 |
| 3.190 | 37 |
| 2.798 | 100 |
| 2.608 | 14 |
| 2.586 | 52 |
| 1.836 | 20 |
| 1.829 | 19 |
| 1.664 | 15 |
| 1.531 | 34 |
| 1.489 | 12 |

Crystal structure
abc: 13.543 13.543 13.543
angles: 157.98 157.98 31.33
Positions (direct):
Ca 0.200 0.200 0.000
Ca 0.800 0.800 0.000
Ac 0.090 0.590 0.500
Ac 0.410 0.910 0.500
Ac 0.590 0.090 0.500
Ac 0.910 0.410 0.500
Sn 0.323 0.323 0.000
Sn 0.500 0.500 0.000
Sn 0.677 0.677 0.000
O 0.105 0.105 0.000
O 0.895 0.895 0.000


CaAcTiO4: computed X-ray diffraction stick pattern (Cu Kα (weighted mean of Kα1 and Kα2)), based on a DFT-relaxed cell (PBE, Alexandria).
Lines closer than 0.1° are merged.

The 12 most intense peaks (2θ from 10° to 90°), in order of rising 2θ:
| d/Å | Rel. int. |
| --- | --- |
| 6.334 | 60 |
| 3.765 | 82 |
| 3.167 | 17 |
| 2.882 | 100 |
| 2.788 | 63 |
| 2.552 | 34 |
| 2.131 | 25 |
| 2.093 | 37 |
| 1.972 | 33 |
| 1.747 | 22 |
| 1.683 | 20 |
| 1.627 | 38 |

Crystal structure
abc: 6.920 6.920 6.920
angles: 146.89 146.89 47.52
Positions (direct):
Ca 0.000 0.000 0.000
Ac 0.286 0.286 0.000
Ti 0.633 0.633 0.000
O 0.139 0.639 0.500
O 0.473 0.473 0.000
O 0.639 0.139 0.500
O 0.814 0.814 0.000


CaAcP2: computed X-ray diffraction stick pattern (Cu Kα (weighted mean of Kα1 and Kα2)), based on a DFT-relaxed cell (PBE, Alexandria).
Lines closer than 0.1° are merged.

The 12 most intense peaks (2θ from 10° to 90°), in order of rising 2θ:
| d/Å | Rel. int. |
| --- | --- |
| 6.722 | 68 |
| 3.738 | 70 |
| 3.559 | 100 |
| 3.361 | 21 |
| 3.037 | 43 |
| 2.767 | 81 |
| 2.297 | 48 |
| 2.196 | 51 |
| 2.088 | 25 |
| 1.839 | 24 |
| 1.781 | 23 |
| 1.720 | 20 |

Crystal structure
abc: 7.185 7.185 7.185
angles: 35.60 35.60 35.60
Positions (direct):
Ca 0.000 0.000 0.000
Ac 0.827 0.827 0.827
P 0.254 0.254 0.254
P 0.404 0.404 0.404


CaAc5Pb3: computed X-ray diffraction stick pattern (Cu Kα (weighted mean of Kα1 and Kα2)), based on a DFT-relaxed cell (PBE, Alexandria).
Lines closer than 0.1° are merged.

The 12 most intense peaks (2θ from 10° to 90°), in order of rising 2θ:
| d/Å | Rel. int. |
| --- | --- |
| 2.990 | 100 |
| 2.973 | 81 |
| 2.308 | 20 |
| 2.108 | 31 |
| 1.726 | 20 |
| 1.723 | 33 |
| 1.552 | 30 |
| 1.495 | 13 |
| 1.336 | 14 |
| 1.251 | 14 |
| 1.154 | 11 |
| 1.130 | 19 |

Crystal structure
abc: 10.356 10.356 7.264
angles: 90.00 90.00 120.00
Positions (direct):
Ca 0.000 0.000 0.000
Ca 0.000 0.000 0.500
Ac 0.000 0.325 0.250
Ac 0.000 0.675 0.750
Ac 0.325 0.000 0.250
Ac 0.325 0.325 0.750
Ac 0.333 0.667 0.000
Ac 0.333 0.667 0.500
Ac 0.667 0.333 0.000
Ac 0.667 0.333 0.500
Ac 0.675 0.000 0.750
Ac 0.675 0.675 0.250
Pb 0.000 0.339 0.750
Pb 0.000 0.661 0.250
Pb 0.339 0.000 0.750
Pb 0.339 0.339 0.250
Pb 0.661 0.000 0.250
Pb 0.661 0.661 0.750


CaAc8Pb2: computed X-ray diffraction stick pattern (Cu Kα (weighted mean of Kα1 and Kα2)), based on a DFT-relaxed cell (PBE, Alexandria).
Lines closer than 0.1° are merged.

The 12 most intense peaks (2θ from 10° to 90°), in order of rising 2θ:
| d/Å | Rel. int. |
| --- | --- |
| 6.925 | 38 |
| 3.461 | 41 |
| 3.296 | 72 |
| 3.158 | 84 |
| 3.062 | 100 |
| 3.025 | 41 |
| 3.010 | 53 |
| 2.883 | 60 |
| 2.869 | 68 |
| 2.711 | 69 |
| 1.947 | 47 |
| 1.895 | 38 |

Crystal structure
abc: 9.800 9.800 6.951
angles: 93.96 93.96 44.96
Positions (direct):
Ca 0.000 0.000 0.000
Ac 0.154 0.642 0.603
Ac 0.212 0.212 0.847
Ac 0.358 0.846 0.397
Ac 0.416 0.416 0.111
Ac 0.584 0.584 0.889
Ac 0.642 0.154 0.603
Ac 0.788 0.788 0.153
Ac 0.846 0.358 0.397
Pb 0.258 0.258 0.341
Pb 0.742 0.742 0.659


Ca2AcPb3: computed X-ray diffraction stick pattern (Cu Kα (weighted mean of Kα1 and Kα2)), based on a DFT-relaxed cell (PBE, Alexandria).
Lines closer than 0.1° are merged.

The 12 most intense peaks (2θ from 10° to 90°), in order of rising 2θ:
| d/Å | Rel. int. |
| --- | --- |
| 3.719 | 10 |
| 2.904 | 100 |
| 2.638 | 20 |
| 2.621 | 19 |
| 2.326 | 13 |
| 1.859 | 14 |
| 1.745 | 11 |
| 1.739 | 11 |
| 1.570 | 16 |
| 1.562 | 16 |
| 1.452 | 12 |
| 1.431 | 11 |

Crystal structure
abc: 5.241 9.302 8.336
angles: 90.00 108.28 90.00
Positions (direct):
Ca 0.000 0.000 0.000
Ca 0.000 0.500 0.000
Ca 0.333 0.000 0.667
Ca 0.667 0.000 0.333
Ac 0.337 0.500 0.675
Ac 0.663 0.500 0.325
Pb 0.166 0.241 0.329
Pb 0.166 0.759 0.329
Pb 0.500 0.242 0.000
Pb 0.500 0.758 0.000
Pb 0.834 0.241 0.671
Pb 0.834 0.759 0.671


CaAc6Pd4: computed X-ray diffraction stick pattern (Cu Kα (weighted mean of Kα1 and Kα2)), based on a DFT-relaxed cell (PBE, Alexandria).
Lines closer than 0.1° are merged.

The 12 most intense peaks (2θ from 10° to 90°), in order of rising 2θ:
| d/Å | Rel. int. |
| --- | --- |
| 4.018 | 28 |
| 3.908 | 27 |
| 3.316 | 39 |
| 3.228 | 66 |
| 3.094 | 100 |
| 2.960 | 52 |
| 2.890 | 74 |
| 2.677 | 36 |
| 2.509 | 53 |
| 2.298 | 38 |
| 2.267 | 39 |
| 1.744 | 29 |

Crystal structure
abc: 6.471 6.472 9.457
angles: 73.40 73.45 88.96
Positions (direct):
Ca 0.000 0.000 0.000
Ac 0.081 0.081 0.360
Ac 0.085 0.515 0.982
Ac 0.465 0.927 0.633
Ac 0.515 0.086 0.982
Ac 0.554 0.555 0.323
Ac 0.928 0.465 0.632
Pd 0.082 0.628 0.279
Pd 0.399 0.399 0.693
Pd 0.628 0.082 0.279
Pd 0.916 0.916 0.717


CaAc2Pd4: computed X-ray diffraction stick pattern (Cu Kα (weighted mean of Kα1 and Kα2)), based on a DFT-relaxed cell (PBE, Alexandria).
Lines closer than 0.1° are merged.

The 12 most intense peaks (2θ from 10° to 90°), in order of rising 2θ:
| d/Å | Rel. int. |
| --- | --- |
| 4.079 | 49 |
| 3.629 | 48 |
| 3.607 | 28 |
| 3.087 | 24 |
| 2.878 | 26 |
| 2.846 | 71 |
| 2.671 | 32 |
| 2.650 | 34 |
| 2.461 | 100 |
| 2.438 | 46 |
| 2.039 | 27 |
| 1.803 | 44 |

Crystal structure
abc: 8.934 8.527 5.115
angles: 77.38 68.65 33.97
Positions (direct):
Ca 0.000 0.000 0.000
Ac 0.360 0.360 0.640
Ac 0.640 0.640 0.360
Pd 0.000 0.000 0.500
Pd 0.176 0.176 0.824
Pd 0.500 0.500 0.000
Pd 0.824 0.824 0.176